This entry pairs a crystal structure of SrLi2Zr with its theoretical powder X-ray diffraction pattern. Radiation: Cu Ka. Structure: a structure optimized by DFT (PBE).
Intensities are scaled so that the largest is 1000.

Principal peaks in the range 15 to 90 degrees two-theta, by angle:
d 3.266, rel. 1000
d 2.746, rel. 233
d 2.692, rel. 881
d 2.515, rel. 428
d 2.406, rel. 183
d 1.855, rel. 287
d 1.562, rel. 219
d 1.484, rel. 274

Crystal structure
a = 3.557 Å, b = 3.557 Å, c = 8.238 Å
α = 90.00°, β = 90.00°, γ = 90.00°
Space group P4mm (No. 99)
Asymmetric unit:
Sr1 0.000 0.000 0.000 (multiplicity 1)
Li1 0.000 0.000 0.522 (multiplicity 1)
Li2 0.500 0.500 0.685 (multiplicity 1)
Zr1 0.500 0.500 0.308 (multiplicity 1)

=====

This entry pairs a crystal structure of LiTa with its theoretical powder X-ray diffraction pattern. Radiation: Cu Ka. Structure: a structure optimized by DFT (PBE).
Intensities are scaled so that the largest is 1000.

Principal peaks in the range 15 to 90 degrees two-theta, by angle:
d 3.270, rel. 169
d 2.583, rel. 512
d 2.452, rel. 269
d 2.350, rel. 1000
d 2.255, rel. 226
d 2.197, rel. 211
d 2.071, rel. 436
d 1.395, rel. 172

Crystal structure
a = 3.327 Å, b = 4.509 Å, c = 9.809 Å
α = 90.00°, β = 90.00°, γ = 90.00°
Space group Cmme (No. 67)
Asymmetric unit:
Li1 0.000 0.250 0.129 (multiplicity 4)
Ta1 0.000 0.250 0.615 (multiplicity 4)